Structure and computed powder XRD pattern of Ba3Lu2Zn5O11 (a crystal structure in the Materials Project, relaxed with PBE; Cu Kα X-rays).

Cell and atoms:
```
42
Lattice="0.0000 6.8090 6.8090 6.8090 0.0000 6.8090 6.8090 6.8090 0.0000" Properties=species:S:1:pos:R:3 pbc="T T T"
Ba 6.8090 6.8090 2.8107
Ba 6.8090 2.8107 6.8090
Ba 10.8072 6.8090 6.8090
Ba 2.8107 6.8090 6.8090
Ba 6.8090 10.8072 6.8090
Ba 6.8090 6.8090 10.8072
Lu 9.0475 4.5705 4.5705
Lu 4.5705 9.0475 4.5705
Lu 4.5705 4.5705 9.0475
Lu 9.0475 9.0475 9.0475
Zn 3.4045 3.4045 1.1229
Zn 3.4045 1.1229 3.4045
Zn 5.6861 3.4045 3.4045
Zn 5.6697 5.6697 5.6697
Zn 7.9483 7.9483 5.6697
Zn 7.9483 5.6697 7.9483
Zn 1.1229 3.4045 3.4045
Zn 3.4045 5.6861 3.4045
Zn 3.4045 3.4045 5.6861
Zn 5.6697 7.9483 7.9483
O 0.0000 0.0000 0.0000
O 2.1528 2.1528 2.1528
O 4.6562 4.6562 2.1528
O 4.6562 2.1528 4.6562
O 6.8349 4.5509 4.5509
O 9.0671 6.7830 4.5509
O 9.0671 4.5509 6.7830
O 6.8090 6.8090 6.8090
O 4.5509 6.8349 4.5509
O 6.7830 9.0671 4.5509
O 4.5509 4.5509 6.8349
O 9.0671 9.0671 6.8349
O 6.7830 4.5509 9.0671
O 9.0671 6.8349 9.0671
O 11.2912 9.1357 9.1357
O 2.1528 4.6562 4.6562
O 9.1357 11.2912 9.1357
O 9.1357 9.1357 11.2912
O 11.2912 11.2912 11.2912
O 4.5509 9.0671 6.7830
O 4.5509 6.7830 9.0671
O 6.8349 9.0671 9.0671
```

Main lines, by angle (15 to 90 degrees two-theta):
2θ (°), d (Å), I (rel.)
22.6, 3.931, 28
28.6, 3.124, 64
32.2, 2.780, 98
34.2, 2.621, 100
37.4, 2.407, 29
47.7, 1.907, 26
55.2, 1.664, 26
57.4, 1.605, 79